1.
Starting from DFT lattice parameters and positions (PBE), the powder X-ray diffraction pattern of NdSm4Tl2 was simulated for copper Kα.

Atomic structure:
abc: 6.540 11.084 6.948
angles: 90.00 114.13 90.00
Positions (direct):
Nd  0.000  0.000  0.000
Nd  0.000  0.500  0.500
Sm  0.001  0.169  0.501
Sm  0.001  0.331  0.001
Sm  0.499  0.722  0.500
Sm  0.499  0.778  0.000
Sm  0.501  0.222  0.000
Sm  0.501  0.278  0.500
Sm  0.999  0.669  0.999
Sm  0.999  0.831  0.499
Tl  0.451  0.000  0.694
Tl  0.451  0.500  0.194
Tl  0.549  0.000  0.306
Tl  0.549  0.500  0.806

Main lines, by angle (2θ = 5–70°):
- 2θ = 25.9°, d = 3.443 Å, intensity 33, (1 0 -2)
- 2θ = 28.9°, d = 3.092 Å, intensity 72, (1 3 -1)
- 2θ = 29.9°, d = 2.984 Å, intensity 100, (2 0 0)
- 2θ = 30.6°, d = 2.925 Å, intensity 67, (1 2 -2)
- 2θ = 32.3°, d = 2.771 Å, intensity 29, (0 4 0)
- 2θ = 32.5°, d = 2.752 Å, intensity 50, (0 2 2)
- 2θ = 34.5°, d = 2.601 Å, intensity 85, (1 3 1)
- 2θ = 35.7°, d = 2.515 Å, intensity 92, (2 2 -2)
- 2θ = 45.8°, d = 1.980 Å, intensity 25, (3 2 -2)
- 2θ = 49.7°, d = 1.833 Å, intensity 31, (2 0 2)
- 2θ = 56.5°, d = 1.628 Å, intensity 27, (1 6 -2)
- 2θ = 59.6°, d = 1.551 Å, intensity 30, (3 3 1)



2.
Starting from DFT lattice parameters and positions (PBE), the powder X-ray diffraction pattern of Nd8Tm5Th was simulated for copper Kα.

Atomic structure:
abc: 8.548 8.629 8.702
angles: 113.72 117.74 96.85
Positions (direct):
Nd  0.000  0.000  0.000
Nd  0.038  0.822  0.444
Nd  0.177  0.489  0.147
Nd  0.241  0.301  0.543
Nd  0.360  0.149  0.907
Nd  0.485  0.755  0.665
Nd  0.622  0.394  0.441
Nd  0.670  0.972  0.158
Tm  0.147  0.654  0.812
Tm  0.409  0.959  0.371
Tm  0.764  0.552  0.913
Tm  0.854  0.364  0.214
Tm  0.903  0.183  0.665
Th  0.561  0.615  0.176

Main lines, by angle (2θ = 5–70°):
- 2θ = 23.2°, d = 3.835 Å, intensity 16, (1 0 1)
- 2θ = 29.3°, d = 3.049 Å, intensity 20, (-1 2 1)
- 2θ = 29.4°, d = 3.037 Å, intensity 23, (-2 1 2)
- 2θ = 31.4°, d = 2.853 Å, intensity 100, (1 -1 2)
- 2θ = 31.8°, d = 2.815 Å, intensity 14, (2 -2 1)
- 2θ = 31.9°, d = 2.806 Å, intensity 62, (1 -3 1)
- 2θ = 32.2°, d = 2.783 Å, intensity 90, (-3 1 1)
- 2θ = 32.3°, d = 2.776 Å, intensity 24, (2 1 0)
- 2θ = 33.7°, d = 2.661 Å, intensity 33, (0 2 1)
- 2θ = 33.8°, d = 2.649 Å, intensity 31, (2 0 -3)
- 2θ = 49.5°, d = 1.843 Å, intensity 22, (4 1 -4)
- 2θ = 58.4°, d = 1.579 Å, intensity 15, (2 -5 0)



3.
Starting from DFT lattice parameters and positions (PBE), the powder X-ray diffraction pattern of Cs2KFeC6N6 was simulated for copper Kα.

Atomic structure:
abc: 7.799 8.205 13.646
angles: 90.00 124.53 90.00
Positions (direct):
Cs  0.228  0.065  0.249
Cs  0.228  0.435  0.749
Cs  0.772  0.565  0.251
Cs  0.772  0.935  0.751
K  0.000  0.000  0.500
K  0.000  0.500  0.000
Fe  0.500  0.000  0.000
Fe  0.500  0.500  0.500
C  0.268  0.127  0.968
C  0.268  0.373  0.468
C  0.335  0.693  0.458
C  0.335  0.807  0.958
C  0.410  0.024  0.838
C  0.410  0.476  0.338
C  0.590  0.524  0.662
C  0.590  0.976  0.162
C  0.665  0.193  0.042
C  0.665  0.307  0.542
C  0.732  0.627  0.532
C  0.732  0.873  0.032
N  0.123  0.205  0.946
N  0.123  0.295  0.446
N  0.231  0.689  0.932
N  0.231  0.811  0.432
N  0.355  0.041  0.739
N  0.355  0.459  0.239
N  0.645  0.541  0.761
N  0.645  0.959  0.261
N  0.769  0.189  0.568
N  0.769  0.311  0.068
N  0.877  0.705  0.554
N  0.877  0.795  0.054

Main lines, by angle (2θ = 5–70°):
- 2θ = 15.7°, d = 5.638 Å, intensity 14, (0 0 2)
- 2θ = 17.6°, d = 5.051 Å, intensity 18, (1 1 0)
- 2θ = 21.7°, d = 4.103 Å, intensity 19, (0 2 0)
- 2θ = 22.3°, d = 3.986 Å, intensity 100, (1 1 1)
- 2θ = 22.8°, d = 3.900 Å, intensity 23, (2 0 -2)
- 2θ = 23.1°, d = 3.854 Å, intensity 11, (0 2 1)
- 2θ = 31.7°, d = 2.826 Å, intensity 22, (2 2 -2)
- 2θ = 31.8°, d = 2.811 Å, intensity 17, (0 0 4)
- 2θ = 32.7°, d = 2.741 Å, intensity 14, (2 2 -1)
- 2θ = 35.7°, d = 2.516 Å, intensity 26, (1 3 0)
- 2θ = 39.7°, d = 2.273 Å, intensity 20, (2 0 -6)
- 2θ = 39.8°, d = 2.263 Å, intensity 14, (3 1 -5)



4.
Starting from DFT lattice parameters and positions (PBE), the powder X-ray diffraction pattern of DyIn3Hg12 was simulated for copper Kα.

Atomic structure:
abc: 4.216 4.804 20.515
angles: 90.00 90.00 90.00
Positions (direct):
Dy  0.000  0.000  0.000
In  0.000  0.000  0.243
In  0.000  0.000  0.500
In  0.000  0.000  0.757
Hg  0.000  0.500  0.118
Hg  0.000  0.500  0.372
Hg  0.000  0.500  0.628
Hg  0.000  0.500  0.882
Hg  0.500  0.000  0.119
Hg  0.500  0.000  0.370
Hg  0.500  0.000  0.630
Hg  0.500  0.000  0.881
Hg  0.500  0.500  0.000
Hg  0.500  0.500  0.244
Hg  0.500  0.500  0.500
Hg  0.500  0.500  0.756

Main lines, by angle (2θ = 5–70°):
- 2θ = 17.3°, d = 5.129 Å, intensity 1, (0 0 4)
- 2θ = 33.2°, d = 2.696 Å, intensity 100, (1 1 4)
- 2θ = 35.0°, d = 2.564 Å, intensity 21, (0 0 8)
- 2θ = 35.8°, d = 2.508 Å, intensity 1, (1 1 5)
- 2θ = 37.4°, d = 2.402 Å, intensity 19, (0 2 0)
- 2θ = 42.9°, d = 2.108 Å, intensity 13, (2 0 0)
- 2θ = 52.2°, d = 1.753 Å, intensity 14, (0 2 8)
- 2θ = 56.5°, d = 1.628 Å, intensity 11, (2 0 8)
- 2θ = 58.2°, d = 1.584 Å, intensity 10, (2 2 0)
- 2θ = 61.6°, d = 1.505 Å, intensity 15, (1 1 12)
- 2θ = 64.9°, d = 1.437 Å, intensity 15, (1 3 4)
- 2θ = 69.8°, d = 1.348 Å, intensity 12, (2 2 8)